# Na3MgTi2P2O10F
Computed X-ray powder pattern, Cu Kα (λ = 1.5418 Å). Input: the GGA-PBE geometry in the Materials Project.
Neutral-atom scattering factors, no anomalous dispersion.

Structure:
```
Na3MgTi2P2O10F
1.0
0.000 5.153 4.651
4.732 0.000 4.651
4.732 5.153 0.000
Na Mg Ti P O F
3 1 2 2 10 1
direct
0.000 0.000 0.000
0.007 0.474 0.993
0.474 0.007 0.526
0.476 0.476 0.524
0.534 0.954 0.046
0.954 0.534 0.466
0.485 0.485 0.015
0.985 0.985 0.515
0.168 0.414 0.586
0.209 0.580 0.103
0.265 0.894 0.414
0.414 0.168 0.832
0.573 0.586 0.106
0.580 0.209 0.108
0.586 0.573 0.735
0.892 0.897 0.420
0.894 0.265 0.427
0.897 0.892 0.791
0.721 0.721 0.279
```

Principal peaks in the range 10 to 90 degrees two-theta, in order of falling intensity:
2theta  d [Å]  Rel. int.
32.09  2.789  100.0
26.88  3.317  25.8
55.40  1.658  18.9
17.21  5.153  17.9
53.05  1.726  15.2
15.89  5.578  15.2
41.78  2.162  13.5
52.52  1.743  13.4